Diffraction record for Li5Mn6B6O18. The powder diffractogram is simulated, not measured: it uses a crystal structure in the Materials Project, relaxed with GGA+U and Cu Kα, 1.54184 Å.
Peak positions follow from Bragg's law for the DFT cell and can differ from measured ones.

Largest 10 diffraction maxima, by intensity, 10° ≤ 2θ ≤ 90°:
(2 -2 0), 2θ = 33.72°, d 2.658, I 100; (1 1 -1), 2θ = 20.24°, d 4.388, I 90; (1 0 1), 2θ = 22.59°, d 3.936, I 72; (0 2 2), 2θ = 40.70°, d 2.217, I 59; (1 0 -2), 2θ = 21.95°, d 4.050, I 45; (1 2 0), 2θ = 34.12°, d 2.628, I 34; (0 0 3), 2θ = 33.98°, d 2.639, I 31; (1 1 -4), 2θ = 39.86°, d 2.261, I 27; (1 2 -3), 2θ = 34.55°, d 2.596, I 27; (0 1 -2), 2θ = 20.74°, d 4.284, I 26

Structure:
```
data_Li5Mn6B6O18
_cell_length_a 6.2269
_cell_length_b 7.8691
_cell_length_c 9.0748
_cell_angle_alpha 109.22
_cell_angle_beta 106.86
_cell_angle_gamma 101.30
_symmetry_space_group_name_H-M 'P 1'
_symmetry_Int_Tables_number 1
loop_
_symmetry_equiv_pos_as_xyz
'x,y,z'
loop_
_atom_site_label
_atom_site_fract_x
_atom_site_fract_y
_atom_site_fract_z
Li1 0.0000 0.0000 0.0000
Li2 0.0153 0.6808 0.5664
Li3 0.3159 0.3473 0.6649
Li4 0.6554 0.6784 0.3254
Li5 0.6811 0.3467 0.9000
Mn1 0.0625 0.6556 0.2238
Mn2 0.2741 0.3802 0.9981
Mn3 0.3972 0.9740 0.9074
Mn4 0.6078 0.7112 0.6637
Mn5 0.7016 0.2948 0.5464
Mn6 0.9644 0.0618 0.3383
B1 0.0343 0.6384 0.8862
B2 0.2804 0.3780 0.3278
B3 0.3585 0.9904 0.5722
B4 0.6267 0.7113 0.9990
B5 0.7330 0.3201 0.2296
B6 0.9542 0.0351 0.6623
O1 0.0783 0.0972 0.8344
O2 0.1173 0.1998 0.2250
O3 0.1822 0.8205 0.9838
O4 0.2055 0.9373 0.4042
O5 0.3298 0.5094 0.2590
O6 0.3369 0.8572 0.6409
O7 0.4026 0.4266 0.4985
O8 0.4778 0.5259 0.9012
O9 0.5176 0.1706 0.6647
O10 0.5912 0.2593 0.0608
O11 0.6666 0.8359 0.9227
O12 0.7230 0.1892 0.3059
O13 0.7516 0.7758 0.1721
O14 0.8037 0.8523 0.5630
O15 0.8666 0.5080 0.3277
O16 0.9094 0.5753 0.7127
O17 0.9912 0.1625 0.5858
O18 0.9970 0.5130 0.9639
```